This entry pairs a crystal structure of Tb12Co7 with its theoretical XRD peak list. Radiation: λ = 1.5418 Å (Cu Kα). Structure: a crystal structure in Alexandria, relaxed with PBE.

Main lines, by intensity (2θ from 5° to 70°):
33.48°, intensity 100
34.22°, intensity 70
33.17°, intensity 63
33.53°, intensity 55
36.24°, intensity 54
32.48°, intensity 48
33.96°, intensity 42
31.42°, intensity 41
26.32°, intensity 36
30.80°, intensity 35

Structural model:
```
Tb12Co7
1.0
8.321 0.000 0.000
0.000 11.324 0.000
-6.431 0.000 9.009
Tb Co
24 14
direct
0.003 0.160 0.342
0.003 0.340 0.842
0.240 0.570 0.810
0.240 0.930 0.310
0.253 0.199 0.178
0.253 0.301 0.678
0.266 0.706 0.539
0.266 0.794 0.039
0.267 0.071 0.915
0.267 0.429 0.415
0.340 0.503 0.146
0.340 0.997 0.646
0.660 0.003 0.354
0.660 0.497 0.854
0.733 0.571 0.585
0.733 0.929 0.085
0.734 0.206 0.961
0.734 0.294 0.461
0.747 0.699 0.322
0.747 0.801 0.822
0.760 0.070 0.690
0.760 0.430 0.190
0.997 0.660 0.158
0.997 0.840 0.658
0.000 0.000 0.000
0.000 0.500 0.500
0.004 0.100 0.600
0.004 0.400 0.100
0.399 0.687 0.339
0.399 0.813 0.839
0.406 0.181 0.475
0.406 0.319 0.975
0.594 0.681 0.025
0.594 0.819 0.525
0.601 0.187 0.161
0.601 0.313 0.661
0.996 0.600 0.900
0.996 0.900 0.400
```



This entry pairs a crystal structure of Cs2SiP4H2O14 with its theoretical XRD peak list. Radiation: λ = 1.5418 Å (Cu Kα). Structure: a crystal structure in Alexandria, relaxed with PBE.

Main lines, by intensity (2θ from 5° to 70°):
27.73°, intensity 100
23.02°, intensity 84
25.70°, intensity 84
21.41°, intensity 79
23.35°, intensity 65
28.31°, intensity 45
16.79°, intensity 42
19.04°, intensity 40
35.40°, intensity 39
32.93°, intensity 39

Structural model:
```
Cs2SiP4H2O14
1.0
9.236 0.000 0.000
-3.628 8.682 0.000
-3.466 -2.271 8.767
Cs Si P H O
4 2 8 4 28
direct
0.193 0.324 0.223
0.207 0.739 0.535
0.793 0.261 0.465
0.807 0.676 0.777
0.500 0.000 0.000
0.500 0.500 0.000
0.240 0.648 0.935
0.244 0.145 0.859
0.299 0.350 0.650
0.309 0.875 0.199
0.691 0.125 0.801
0.701 0.650 0.350
0.756 0.855 0.141
0.760 0.352 0.065
0.073 0.928 0.186
0.483 0.247 0.632
0.517 0.753 0.368
0.927 0.072 0.814
0.076 0.043 0.866
0.078 0.540 0.800
0.171 0.383 0.530
0.186 0.714 0.062
0.188 0.918 0.250
0.200 0.188 0.694
0.345 0.305 0.981
0.352 0.800 0.900
0.357 0.059 0.863
0.357 0.574 0.028
0.397 0.003 0.126
0.408 0.483 0.800
0.422 0.318 0.587
0.431 0.849 0.334
0.569 0.151 0.666
0.578 0.682 0.413
0.592 0.517 0.200
0.603 0.997 0.874
0.643 0.426 0.972
0.643 0.941 0.137
0.648 0.200 0.100
0.655 0.695 0.019
0.800 0.812 0.306
0.812 0.082 0.750
0.814 0.286 0.938
0.829 0.617 0.470
0.922 0.460 0.200
0.924 0.957 0.134
```



This entry pairs a crystal structure of Ba2TeBr2F with its theoretical XRD peak list. Radiation: λ = 1.5418 Å (Cu Kα). Structure: a crystal structure in Alexandria, relaxed with PBE.

Main lines, by intensity (2θ from 5° to 70°):
20.16°, intensity 100
31.35°, intensity 82
29.33°, intensity 80
31.14°, intensity 77
30.56°, intensity 75
35.63°, intensity 62
31.03°, intensity 60
37.53°, intensity 58
21.12°, intensity 57
39.64°, intensity 54

Structural model:
```
Ba2TeBr2F
1.0
-4.387 7.643 3.078
4.387 -7.643 3.078
4.387 7.643 -3.078
Ba Te Br F
4 2 4 2
direct
0.108 0.180 0.287
0.392 0.680 0.072
0.608 0.320 0.928
0.892 0.820 0.713
0.250 0.750 0.500
0.750 0.250 0.500
0.191 0.836 0.027
0.309 0.336 0.645
0.691 0.664 0.355
0.809 0.164 0.973
0.250 0.250 0.000
0.750 0.750 0.000
```



This entry pairs a crystal structure of PPb with its theoretical XRD peak list. Radiation: λ = 1.5418 Å (Cu Kα). Structure: a crystal structure in Alexandria, relaxed with PBE.

Main lines, by intensity (2θ from 5° to 70°):
15.75°, intensity 100
30.72°, intensity 74
31.81°, intensity 37
34.65°, intensity 36
34.75°, intensity 36
28.43°, intensity 35
32.55°, intensity 27
44.72°, intensity 27
44.89°, intensity 26
32.77°, intensity 26

Structural model:
```
PPb
1.0
5.627 0.000 0.000
0.000 3.285 0.000
-0.048 0.000 6.279
P Pb
2 2
direct
0.001 0.250 0.116
0.999 0.750 0.884
0.498 0.750 0.740
0.502 0.250 0.260
```



This entry pairs a crystal structure of La3TbBi2 with its theoretical XRD peak list. Radiation: λ = 1.5418 Å (Cu Kα). Structure: a crystal structure in Alexandria, relaxed with PBE.

Main lines, by intensity (2θ from 5° to 70°):
33.23°, intensity 100
28.47°, intensity 72
38.13°, intensity 57
29.30°, intensity 33
48.80°, intensity 33
35.04°, intensity 32
65.81°, intensity 28
26.71°, intensity 23
52.75°, intensity 20
55.02°, intensity 20

Structural model:
```
La3TbBi2
1.0
4.720 0.000 0.000
0.000 4.720 0.000
0.000 0.000 9.144
La Tb Bi
3 1 2
direct
0.000 0.000 0.000
0.000 0.500 0.648
0.500 0.000 0.352
0.500 0.500 0.000
0.000 0.500 0.276
0.500 0.000 0.724
```



This entry pairs a crystal structure of Li7Th3Ir4 with its theoretical XRD peak list. Radiation: λ = 1.5418 Å (Cu Kα). Structure: a crystal structure in Alexandria, relaxed with PBE.

Main lines, by intensity (2θ from 5° to 70°):
36.34°, intensity 100
10.56°, intensity 67
21.20°, intensity 64
42.05°, intensity 51
34.62°, intensity 35
30.60°, intensity 34
17.36°, intensity 32
51.27°, intensity 28
45.45°, intensity 26
31.49°, intensity 26

Structural model:
```
Li7Th3Ir4
1.0
7.877 -1.996 0.000
7.877 1.996 0.000
-5.920 0.000 8.380
Li Th Ir
7 3 4
direct
0.000 0.000 0.000
0.171 0.171 0.933
0.338 0.338 0.509
0.480 0.480 0.190
0.520 0.520 0.810
0.662 0.662 0.491
0.829 0.829 0.067
0.000 0.000 0.500
0.289 0.289 0.746
0.711 0.711 0.254
0.111 0.111 0.310
0.347 0.347 0.267
0.653 0.653 0.733
0.889 0.889 0.690
```



This entry pairs a crystal structure of Cd4SeS3 with its theoretical XRD peak list. Radiation: λ = 1.5418 Å (Cu Kα). Structure: a crystal structure in Alexandria, relaxed with PBE.

Main lines, by intensity (2θ from 5° to 70°):
27.50°, intensity 100
24.23°, intensity 77
46.53°, intensity 65
42.63°, intensity 64
25.78°, intensity 52
50.49°, intensity 46
35.67°, intensity 33
64.93°, intensity 23
51.48°, intensity 17
68.99°, intensity 13

Structural model:
```
Cd4SeS3
1.0
8.485 0.000 0.000
0.000 7.347 0.000
0.000 0.000 6.910
Cd Se S
8 2 6
direct
0.000 0.163 0.000
0.000 0.822 0.516
0.244 0.662 0.017
0.256 0.338 0.517
0.500 0.178 0.016
0.500 0.837 0.500
0.744 0.338 0.517
0.756 0.662 0.017
0.000 0.165 0.388
0.500 0.835 0.888
0.000 0.829 0.888
0.249 0.334 0.889
0.251 0.666 0.389
0.500 0.171 0.388
0.749 0.666 0.389
0.751 0.334 0.889
```



This entry pairs a crystal structure of Li3Pa3S8 with its theoretical XRD peak list. Radiation: λ = 1.5418 Å (Cu Kα). Structure: a crystal structure in Alexandria, relaxed with PBE.

Main lines, by intensity (2θ from 5° to 70°):
14.55°, intensity 100
32.22°, intensity 84
25.92°, intensity 75
13.55°, intensity 43
44.85°, intensity 34
47.40°, intensity 32
35.52°, intensity 29
47.55°, intensity 29
27.28°, intensity 25
15.95°, intensity 25

Structural model:
```
Li3Pa3S8
1.0
4.042 2.334 6.089
-4.042 2.334 6.089
0.000 -4.667 6.089
Li Pa S
3 3 8
direct
0.000 0.000 0.000
0.389 0.389 0.389
0.611 0.611 0.611
0.000 0.000 0.500
0.000 0.500 0.000
0.500 0.000 0.000
0.224 0.756 0.756
0.244 0.244 0.776
0.244 0.776 0.244
0.246 0.246 0.246
0.754 0.754 0.754
0.756 0.224 0.756
0.756 0.756 0.224
0.776 0.244 0.244
```



This entry pairs a crystal structure of CeNdCu4 with its theoretical XRD peak list. Radiation: λ = 1.5418 Å (Cu Kα). Structure: a crystal structure in Alexandria, relaxed with PBE.

Main lines, by intensity (2θ from 5° to 70°):
34.25°, intensity 100
36.87°, intensity 56
46.16°, intensity 36
47.01°, intensity 32
28.50°, intensity 30
60.49°, intensity 25
68.01°, intensity 20
67.34°, intensity 11
22.90°, intensity 10
55.15°, intensity 10

Structural model:
```
CeNdCu4
1.0
-1.966 1.966 7.768
1.966 -1.966 7.768
1.966 1.966 -7.768
Ce Nd Cu
1 1 4
direct
0.000 0.000 0.000
0.250 0.750 0.500
0.421 0.421 0.000
0.579 0.579 0.000
0.670 0.170 0.500
0.830 0.330 0.500
```



This entry pairs a crystal structure of AcAsAu3 with its theoretical XRD peak list. Radiation: λ = 1.5418 Å (Cu Kα). Structure: a crystal structure in Alexandria, relaxed with PBE.

Main lines, by intensity (2θ from 5° to 70°):
31.86°, intensity 100
39.12°, intensity 64
32.24°, intensity 28
31.39°, intensity 27
31.06°, intensity 16
66.29°, intensity 15
45.60°, intensity 14
50.66°, intensity 13
43.06°, intensity 11
56.70°, intensity 11

Structural model:
```
AcAsAu3
1.0
3.248 -3.266 0.000
3.248 3.266 0.000
-3.166 0.000 5.486
Ac As Au
1 1 3
direct
0.000 0.000 0.000
0.392 0.392 0.751
0.238 0.769 0.505
0.594 0.594 0.210
0.769 0.238 0.505
```



This entry pairs a crystal structure of KLiDy2S4 with its theoretical XRD peak list. Radiation: λ = 1.5418 Å (Cu Kα). Structure: a crystal structure in Alexandria, relaxed with PBE.

Main lines, by intensity (2θ from 5° to 70°):
23.28°, intensity 100
12.70°, intensity 91
44.98°, intensity 69
32.55°, intensity 65
29.84°, intensity 51
39.91°, intensity 44
30.54°, intensity 40
23.06°, intensity 39
14.64°, intensity 38
34.85°, intensity 36

Structural model:
```
KLiDy2S4
1.0
2.013 -6.718 0.000
2.013 6.718 0.000
0.000 0.000 13.937
K Li Dy S
2 2 4 8
direct
0.107 0.893 0.750
0.893 0.107 0.250
0.167 0.833 0.250
0.833 0.167 0.750
0.366 0.634 0.561
0.366 0.634 0.939
0.634 0.366 0.061
0.634 0.366 0.439
0.000 0.000 0.000
0.000 0.000 0.500
0.262 0.738 0.107
0.262 0.738 0.393
0.425 0.575 0.750
0.575 0.425 0.250
0.738 0.262 0.607
0.738 0.262 0.893
```